[1]
Simulated powder XRD pattern
Compound: NpAl2B6
Radiation: Cu Kα (weighted mean of Kα1 and Kα2)
Structure: DFT lattice parameters and positions (PBE)
No peak broadening, texture or thermal motion is included.

Peak list (6 most intense, 15° ≤ 2θ ≤ 90°, low angle first)
2θ/deg, I (rel.)
19.07, 1000
24.82, 236
31.49, 615
33.34, 432
42.01, 642
58.43, 223

Cell and atoms:
Cell lengths 5.374, 5.374, 3.587 Å; angles 90.00, 90.00, 120.00 degrees
Positions (direct):
Np 0.000 0.000 0.000
Al 0.333 0.667 0.000
Al 0.667 0.333 0.000
B 0.000 0.337 0.500
B 0.000 0.663 0.500
B 0.337 0.000 0.500
B 0.337 0.337 0.500
B 0.663 0.000 0.500
B 0.663 0.663 0.500

[2]
Simulated powder XRD pattern
Compound: Al4B2O9
Radiation: Cu Kα (weighted mean of Kα1 and Kα2)
Structure: DFT lattice parameters and positions (PBE)
No peak broadening, texture or thermal motion is included.

Peak list (6 most intense, 15° ≤ 2θ ≤ 90°, low angle first)
2θ/deg, I (rel.)
15.91, 570
16.44, 1000
25.53, 403
32.14, 524
36.75, 356
41.90, 313

Cell and atoms:
Cell lengths 7.673, 2.721, 7.833 Å; angles 90.00, 91.87, 90.00 degrees
Positions (direct):
Al 0.000 0.000 0.000
Al 0.153 0.500 0.663
Al 0.500 0.000 0.500
Al 0.847 0.500 0.337
B 0.270 0.500 0.216
B 0.730 0.500 0.784
O 0.000 0.500 0.500
O 0.132 0.000 0.804
O 0.143 0.500 0.096
O 0.337 0.000 0.272
O 0.367 0.500 0.583
O 0.633 0.500 0.417
O 0.663 0.000 0.728
O 0.857 0.500 0.904
O 0.868 0.000 0.196

[3]
Simulated powder XRD pattern
Compound: SmAl3B4O12
Radiation: Cu Kα (weighted mean of Kα1 and Kα2)
Structure: DFT lattice parameters and positions (PBE)
No peak broadening, texture or thermal motion is included.

Peak list (6 most intense, 15° ≤ 2θ ≤ 90°, low angle first)
2θ/deg, I (rel.)
15.63, 621
16.25, 348
20.40, 342
25.02, 641
31.12, 305
32.81, 1000

Cell and atoms:
Cell lengths 5.957, 5.957, 11.215 Å; angles 98.16, 98.16, 104.37 degrees
Positions (direct):
Sm 0.036 0.964 0.750
Sm 0.964 0.036 0.250
Al 0.194 0.695 0.472
Al 0.305 0.806 0.028
Al 0.412 0.588 0.250
Al 0.588 0.412 0.750
Al 0.695 0.194 0.972
Al 0.806 0.305 0.528
B 0.119 0.493 0.778
B 0.223 0.279 0.005
B 0.279 0.223 0.505
B 0.493 0.119 0.278
B 0.507 0.881 0.722
B 0.721 0.777 0.495
B 0.777 0.721 0.995
B 0.881 0.507 0.222
O 0.003 0.809 0.064
O 0.105 0.577 0.295
O 0.131 0.371 0.498
O 0.177 0.699 0.862
O 0.191 0.997 0.436
O 0.268 0.354 0.759
O 0.300 0.506 0.074
O 0.301 0.823 0.638
O 0.354 0.268 0.259
O 0.371 0.131 0.998
O 0.423 0.895 0.205
O 0.494 0.700 0.426
O 0.506 0.300 0.574
O 0.577 0.105 0.795
O 0.629 0.869 0.002
O 0.646 0.732 0.741
O 0.699 0.177 0.362
O 0.700 0.494 0.926
O 0.732 0.646 0.241
O 0.809 0.003 0.564
O 0.823 0.301 0.138
O 0.869 0.629 0.502
O 0.895 0.423 0.705
O 0.997 0.191 0.936

[4]
Simulated powder XRD pattern
Compound: Al3SnB4O12
Radiation: Cu Kα (weighted mean of Kα1 and Kα2)
Structure: DFT lattice parameters and positions (PBE)
No peak broadening, texture or thermal motion is included.

Peak list (6 most intense, 15° ≤ 2θ ≤ 90°, low angle first)
2θ/deg, I (rel.)
16.35, 482
25.09, 453
31.60, 304
33.04, 1000
38.34, 483
41.93, 451

Cell and atoms:
Cell lengths 5.940, 5.940, 5.940 Å; angles 104.47, 104.47, 104.47 degrees
Positions (direct):
Al 0.000 0.557 0.443
Al 0.443 0.000 0.557
Al 0.557 0.443 0.000
Sn 0.000 0.000 0.000
B 0.055 0.500 0.945
B 0.500 0.500 0.500
B 0.500 0.945 0.055
B 0.945 0.055 0.500
O 0.032 0.627 0.780
O 0.092 0.908 0.500
O 0.220 0.373 0.968
O 0.352 0.648 0.500
O 0.373 0.968 0.220
O 0.500 0.092 0.908
O 0.500 0.352 0.648
O 0.627 0.780 0.032
O 0.648 0.500 0.352
O 0.780 0.032 0.627
O 0.908 0.500 0.092
O 0.968 0.220 0.373

[5]
Simulated powder XRD pattern
Compound: Al3TlB4O12
Radiation: Cu Kα (weighted mean of Kα1 and Kα2)
Structure: DFT lattice parameters and positions (PBE)
No peak broadening, texture or thermal motion is included.

Peak list (6 most intense, 15° ≤ 2θ ≤ 90°, low angle first)
2θ/deg, I (rel.)
16.36, 951
18.90, 607
25.10, 601
33.07, 1000
38.36, 619
41.96, 596

Cell and atoms:
Cell lengths 5.937, 5.937, 5.937 Å; angles 104.52, 104.52, 104.52 degrees
Positions (direct):
Al 0.000 0.557 0.443
Al 0.443 0.000 0.557
Al 0.557 0.443 0.000
Tl 0.000 0.000 0.000
B 0.054 0.500 0.946
B 0.500 0.500 0.500
B 0.500 0.946 0.054
B 0.946 0.054 0.500
O 0.032 0.627 0.780
O 0.093 0.907 0.500
O 0.220 0.373 0.968
O 0.352 0.648 0.500
O 0.373 0.968 0.220
O 0.500 0.093 0.907
O 0.500 0.352 0.648
O 0.627 0.780 0.032
O 0.648 0.500 0.352
O 0.780 0.032 0.627
O 0.907 0.500 0.093
O 0.968 0.220 0.373

[6]
Simulated powder XRD pattern
Compound: AlZn2B2O6
Radiation: Cu Kα (weighted mean of Kα1 and Kα2)
Structure: DFT lattice parameters and positions (PBE)
No peak broadening, texture or thermal motion is included.

Peak list (6 most intense, 15° ≤ 2θ ≤ 90°, low angle first)
2θ/deg, I (rel.)
25.57, 1000
27.12, 397
34.96, 824
37.95, 376
46.32, 435
57.24, 286

Cell and atoms:
Cell lengths 4.742, 4.742, 6.576 Å; angles 90.00, 90.00, 120.00 degrees
Positions (direct):
Al 0.000 0.000 0.000
Zn 0.333 0.667 0.702
Zn 0.667 0.333 0.298
B 0.333 0.667 0.173
B 0.667 0.333 0.827
O 0.065 0.356 0.174
O 0.292 0.935 0.174
O 0.356 0.292 0.826
O 0.644 0.708 0.174
O 0.708 0.065 0.826
O 0.935 0.644 0.826

[7]
Simulated powder XRD pattern
Compound: AlB2Pb
Radiation: Cu Kα (weighted mean of Kα1 and Kα2)
Structure: DFT lattice parameters and positions (PBE)
No peak broadening, texture or thermal motion is included.

Peak list (6 most intense, 15° ≤ 2θ ≤ 90°, low angle first)
2θ/deg, I (rel.)
20.85, 674
26.72, 312
28.22, 408
31.17, 1000
48.86, 310
50.05, 272

Cell and atoms:
Cell lengths 4.495, 4.495, 13.346 Å; angles 90.00, 90.00, 90.00 degrees
Positions (direct):
Al 0.000 0.000 0.000
Al 0.000 0.500 0.250
Al 0.500 0.000 0.750
Al 0.500 0.500 0.500
B 0.133 0.250 0.125
B 0.250 0.633 0.375
B 0.250 0.867 0.875
B 0.367 0.250 0.625
B 0.633 0.750 0.625
B 0.750 0.133 0.875
B 0.750 0.367 0.375
B 0.867 0.750 0.125
Pb 0.000 0.000 0.500
Pb 0.000 0.500 0.750
Pb 0.500 0.000 0.250
Pb 0.500 0.500 0.000

[8]
Simulated powder XRD pattern
Compound: PmAlB4
Radiation: Cu Kα (weighted mean of Kα1 and Kα2)
Structure: DFT lattice parameters and positions (PBE)
No peak broadening, texture or thermal motion is included.

Peak list (6 most intense, 15° ≤ 2θ ≤ 90°, low angle first)
2θ/deg, I (rel.)
21.16, 469
24.35, 543
30.60, 748
32.48, 411
36.86, 398
39.48, 1000

Cell and atoms:
Cell lengths 6.033, 11.690, 3.656 Å; angles 90.00, 90.00, 90.00 degrees
Positions (direct):
Pm 0.128 0.150 0.000
Pm 0.372 0.650 0.000
Pm 0.628 0.350 0.000
Pm 0.872 0.850 0.000
Al 0.137 0.410 0.000
Al 0.363 0.910 0.000
Al 0.637 0.090 0.000
Al 0.863 0.590 0.000
B 0.027 0.691 0.500
B 0.112 0.546 0.500
B 0.136 0.969 0.500
B 0.213 0.813 0.500
B 0.287 0.313 0.500
B 0.364 0.469 0.500
B 0.388 0.046 0.500
B 0.473 0.191 0.500
B 0.527 0.809 0.500
B 0.612 0.954 0.500
B 0.636 0.531 0.500
B 0.713 0.687 0.500
B 0.787 0.187 0.500
B 0.864 0.031 0.500
B 0.888 0.454 0.500
B 0.973 0.309 0.500